The following is a theoretical powder X-ray diffraction pattern of Sc2PtRh3. It was derived from a GGA-PBE-relaxed structure, using CuKα.
Kinematic intensities with the Lorentz-polarization factor, no thermal factor.

The 10 most intense peaks (2θ from 10° to 90°), sorted by position:
2theta, I/Imax
21.6, 45
33.5, 93
37.6, 91
39.8, 100
40.1, 53
40.6, 61
43.5, 46
44.0, 57
67.6, 49
69.7, 32

Structure:
Unit cell a=8.240 b=8.240 c=8.240 alpha=119.36 beta=119.36 gamma=91.11
Element x y z (fractional)
Sc1 0.273 0.329 0.556
Sc2 0.273 0.717 0.944
Sc3 0.283 0.727 0.556
Sc4 0.329 0.273 0.056
Sc5 0.671 0.727 0.944
Sc6 0.717 0.273 0.444
Sc7 0.727 0.283 0.056
Sc8 0.727 0.671 0.444
Pt1 0.066 0.316 0.750
Pt2 0.316 0.066 0.250
Pt3 0.684 0.934 0.750
Pt4 0.934 0.684 0.250
Rh1 0.000 0.500 0.500
Rh2 0.068 0.318 0.136
Rh3 0.068 0.932 0.750
Rh4 0.318 0.068 0.636
Rh5 0.318 0.682 0.250
Rh6 0.500 0.000 0.000
Rh7 0.500 0.500 0.000
Rh8 0.500 0.500 0.500
Rh9 0.682 0.318 0.750
Rh10 0.682 0.932 0.364
Rh11 0.932 0.068 0.250
Rh12 0.932 0.682 0.864